# 1
PmNd3Th: computed powder X-ray diffraction pattern (a wavelength of 1.5418 Å), based on a cell relaxed with GGA-PBE.

The 10 most intense peaks (2θ = 10–90°), sorted by position:
2θ/deg, I_rel, hkl
27.27, 426, 0 2 1
29.80, 212, 2 2 -1
30.26, 557, 4 0 -1
30.90, 1000, 2 0 -3
33.57, 888, 2 2 1
41.18, 276, 4 2 -2
54.16, 203, 6 0 -4
55.89, 200, 6 2 0
60.42, 235, 4 2 3
61.15, 291, 2 4 -3

Crystal structure
a = 11.8152 Å, b = 7.1164 Å, c = 8.8057 Å
α = 90.00°, β = 109.57°, γ = 90.00°
Space group C2/m (No. 12)
Asymmetric unit:
Pm  0.0533  0.0000  0.2230
Nd  0.1531  0.2520  0.6129
Nd  0.2383  0.5000  0.9974
Th  0.0583  0.5000  0.2195



# 2
Ba4BeTc: computed powder X-ray diffraction pattern (a wavelength of 1.5418 Å), based on a cell relaxed with GGA-PBE.

The 10 most intense peaks (2θ = 10–90°), sorted by position:
2θ/deg, I_rel, hkl
15.43, 524, 1 1 1
29.80, 1000, 3 1 1
31.16, 709, 2 2 2
36.13, 219, 4 0 0
39.50, 153, 3 3 1
47.51, 359, 3 3 3
52.03, 345, 4 4 0
61.12, 126, 5 3 3
61.90, 294, 6 2 2
73.10, 225, 7 3 1

Crystal structure
a = 9.9434 Å, b = 9.9434 Å, c = 9.9434 Å
α = 90.00°, β = 90.00°, γ = 90.00°
Space group F-43m (No. 216)
Asymmetric unit:
Ba  0.1251  0.1251  0.1251
Be  0.2500  0.2500  0.7500
Tc  0.0000  0.0000  0.5000



# 3
Na2B3C: computed powder X-ray diffraction pattern (a wavelength of 1.5418 Å), based on a cell relaxed with GGA-PBE.

The 10 most intense peaks (2θ = 10–90°), sorted by position:
2θ/deg, I_rel, hkl
34.58, 116, 6 0 2
36.00, 175, 3 1 1
40.65, 504, 10 0 0
41.90, 1000, 7 1 -1
42.15, 372, 8 0 -4
62.89, 177, 9 1 3
76.87, 158, 16 0 2
78.54, 84, 1 1 7
78.73, 84, 17 1 -1
80.14, 102, 10 2 0

Crystal structure
a = 23.1308 Å, b = 2.8449 Å, c = 10.0331 Å
α = 90.00°, β = 106.57°, γ = 90.00°
Space group Cm (No. 8)
Asymmetric unit:
Na  0.0000  0.0000  0.0000
Na  0.0007  0.5000  0.4951
Na  0.0997  0.5000  0.1966
Na  0.1006  0.0000  0.6921
Na  0.1995  0.0000  0.3971
Na  0.2010  0.5000  0.8921
Na  0.2996  0.5000  0.6001
Na  0.3015  0.0000  0.0967
Na  0.4009  0.0000  0.8000
Na  0.4015  0.5000  0.2980
B  0.0166  0.0000  0.2791
B  0.0764  0.5000  0.8978
B  0.1134  0.5000  0.4730
B  0.1156  0.0000  0.9758
B  0.1783  0.0000  0.1019
B  0.2106  0.0000  0.6673
B  0.2191  0.5000  0.1848
B  0.2822  0.5000  0.3105
B  0.2833  0.0000  0.8122
B  0.3210  0.0000  0.3883
B  0.3243  0.5000  0.8941
B  0.3857  0.0000  0.5177
B  0.4200  0.0000  0.0857
B  0.4221  0.5000  0.5900
B  0.4881  0.5000  0.7215
C  0.0168  0.5000  0.7788
C  0.0813  0.0000  0.4094
C  0.1787  0.5000  0.6034
C  0.3877  0.5000  0.0204
C  0.4846  0.0000  0.2147



# 4
RbCuMo: computed powder X-ray diffraction pattern (a wavelength of 1.5418 Å), based on a cell relaxed with GGA-PBE.

The 10 most intense peaks (2θ = 10–90°), sorted by position:
2θ/deg, I_rel, hkl
12.36, 801, 1 0 1
15.36, 360, 0 0 2
25.13, 1000, 1 0 3
32.80, 611, 1 1 2
33.28, 669, 3 0 2
33.54, 376, 2 1 0
35.89, 367, 0 1 3
41.12, 318, 3 1 1
47.01, 382, 3 1 3
48.51, 356, 4 1 0

Crystal structure
a = 9.1311 Å, b = 3.2953 Å, c = 11.5365 Å
α = 90.00°, β = 90.00°, γ = 90.00°
Space group Pnma (No. 62)
Asymmetric unit:
Rb  0.0697  0.2500  0.1723
Cu  0.2258  0.7500  0.4079
Mo  0.0798  0.2500  0.5360



# 5
GdTmMgGa: computed powder X-ray diffraction pattern (a wavelength of 1.5418 Å), based on a cell relaxed with GGA-PBE.

The 10 most intense peaks (2θ = 10–90°), sorted by position:
2θ/deg, I_rel, hkl
24.39, 344, 2 0 0
34.77, 1000, 2 2 0
42.93, 105, 2 2 2
49.99, 179, 4 0 0
56.38, 144, 4 2 0
62.33, 366, 4 2 2
73.39, 113, 4 4 0
78.66, 70, 6 0 0
83.84, 160, 6 2 0
88.97, 44, 6 2 2

Crystal structure
a = 7.2981 Å, b = 7.2981 Å, c = 7.2981 Å
α = 90.00°, β = 90.00°, γ = 90.00°
Space group F-43m (No. 216)
Asymmetric unit:
Gd  0.0000  0.0000  0.0000
Tm  0.0000  0.0000  0.5000
Mg  0.2500  0.2500  0.2500
Ga  0.2500  0.2500  0.7500



# 6
Rb4ThO4: computed powder X-ray diffraction pattern (a wavelength of 1.5418 Å), based on a cell relaxed with GGA-PBE.

The 10 most intense peaks (2θ = 10–90°), sorted by position:
2θ/deg, I_rel, hkl
10.51, 431, 0 0 1
13.39, 316, 2 0 -1
26.93, 396, 4 0 -1
27.29, 337, 2 0 -3
28.27, 626, 1 1 1
32.08, 1000, 3 1 -2
45.77, 225, 5 1 0
46.23, 221, 1 1 -4
53.81, 154, 6 0 1
55.47, 191, 8 0 -2

Crystal structure
a = 13.4989 Å, b = 3.8276 Å, c = 9.8084 Å
α = 90.00°, β = 120.85°, γ = 90.00°
Space group C2/m (No. 12)
Asymmetric unit:
Rb  0.1150  0.0000  0.3899
Rb  0.2088  0.5000  0.8175
Th  0.0000  0.5000  0.0000
O  0.0688  0.0000  0.9190
O  0.1667  0.5000  0.2451



# 7
Tb6TeAs3P2: computed powder X-ray diffraction pattern (a wavelength of 1.5418 Å), based on a cell relaxed with GGA-PBE.

The 10 most intense peaks (2θ = 10–90°), sorted by position:
2θ/deg, I_rel, hkl
26.39, 212, 3 1 0
30.51, 1000, 1 1 -2
43.59, 358, 2 0 -4
43.80, 372, 0 2 0
54.32, 193, 6 2 0
63.46, 78, 2 2 -4
71.88, 101, 3 1 -6
72.21, 110, 1 3 -2
80.30, 79, 5 3 2
80.47, 99, 7 3 -2

Crystal structure
a = 18.0114 Å, b = 4.1346 Å, c = 8.3162 Å
α = 90.00°, β = 103.01°, γ = 90.00°
Space group C2/m (No. 12)
Asymmetric unit:
Tb  0.0038  0.0000  0.2699
Tb  0.1694  0.5000  0.5797
Tb  0.1747  0.5000  0.0947
Te  0.0000  0.5000  0.0000
As  0.0000  0.5000  0.5000
As  0.1633  0.0000  0.8328
P  0.1676  0.0000  0.3345



# 8
KZn2In8: computed powder X-ray diffraction pattern (a wavelength of 1.5418 Å), based on a cell relaxed with GGA-PBE.

The 10 most intense peaks (2θ = 10–90°), sorted by position:
2θ/deg, I_rel, hkl
18.54, 340, 0 0 2
27.96, 375, 0 0 3
28.14, 683, 2 0 0
33.91, 1000, 2 0 2
40.09, 903, 2 0 3
40.21, 577, 2 2 0
49.69, 297, 2 2 3
65.80, 241, 4 0 3
69.07, 234, 4 2 2
73.00, 293, 4 2 3

Crystal structure
a = 6.3433 Å, b = 6.3433 Å, c = 9.5723 Å
α = 90.00°, β = 90.00°, γ = 90.00°
Space group P4/mmm (No. 123)
Asymmetric unit:
K  0.0000  0.0000  0.0000
Zn  0.0000  0.5000  0.5000
In  0.2517  0.2517  0.3154



# 9
SrNd: computed powder X-ray diffraction pattern (a wavelength of 1.5418 Å), based on a cell relaxed with GGA-PBE.

The 10 most intense peaks (2θ = 10–90°), sorted by position:
2θ/deg, I_rel, hkl
27.74, 1000, 1 0 2
31.71, 136, 0 0 4
32.35, 363, 1 1 0
33.03, 132, 1 0 3
45.93, 194, 1 1 4
46.41, 165, 2 0 0
54.09, 73, 1 0 6
54.93, 295, 2 1 2
57.30, 100, 2 0 4
85.72, 65, 3 1 4

Crystal structure
a = 3.9134 Å, b = 3.9134 Å, c = 11.2873 Å
α = 90.00°, β = 90.00°, γ = 90.00°
Space group P4/nmm (No. 129, origin choice 2)
Asymmetric unit:
Sr  0.2500  0.2500  0.1457
Nd  0.2500  0.2500  0.6013



# 10
CaZr2F11: computed powder X-ray diffraction pattern (a wavelength of 1.5418 Å), based on a cell relaxed with GGA-PBE.

The 10 most intense peaks (2θ = 10–90°), sorted by position:
2θ/deg, I_rel, hkl
16.30, 880, 0 0 2
17.38, 230, 0 2 0
21.63, 822, 1 1 2
22.26, 673, 1 2 1
23.91, 638, 0 2 2
25.41, 1000, 2 1 1
44.12, 462, 1 3 4
44.92, 326, 1 4 3
46.55, 347, 3 3 2
48.80, 240, 4 0 2

Crystal structure
a = 7.9486 Å, b = 10.2026 Å, c = 10.8786 Å
α = 90.00°, β = 90.00°, γ = 90.00°
Space group Ibam (No. 72)
Asymmetric unit:
Ca  0.0000  0.0000  0.2500
Zr  0.1372  0.3192  0.0000
F  0.0000  0.5000  0.0000
F  0.1051  0.1813  0.1362
F  0.1256  0.2823  0.5000
F  0.2353  0.0788  0.3677



# 11
NaHg2Cl4: computed powder X-ray diffraction pattern (a wavelength of 1.5418 Å), based on a cell relaxed with GGA-PBE.

The 10 most intense peaks (2θ = 10–90°), sorted by position:
2θ/deg, I_rel, hkl
15.27, 553, 0 0 1
19.31, 610, 1 1 0
24.71, 1000, 1 1 1
31.55, 353, 2 0 1
36.62, 257, 1 1 2
39.20, 238, 2 2 0
41.73, 395, 2 0 2
42.30, 184, 2 2 1
46.90, 386, 3 1 1
66.33, 216, 3 1 3

Crystal structure
a = 6.4997 Å, b = 6.4997 Å, c = 5.8037 Å
α = 90.00°, β = 90.00°, γ = 90.00°
Space group P-42m (No. 111)
Asymmetric unit:
Na  0.0000  0.0000  0.0000
Hg  0.0000  0.5000  0.5000
Cl  0.2453  0.2453  0.2635



# 12
Tb3Nd2Y6Pu: computed powder X-ray diffraction pattern (a wavelength of 1.5418 Å), based on a cell relaxed with GGA-PBE.

The 10 most intense peaks (2θ = 10–90°), sorted by position:
2θ/deg, I_rel, hkl
15.26, 138, 0 0 2
30.62, 1000, 1 3 1
30.81, 327, 0 0 4
35.56, 668, 2 0 2
51.04, 237, 0 6 0
51.29, 234, 1 3 5
60.79, 233, 4 0 0
61.03, 139, 2 0 6
63.75, 121, 2 6 2
83.22, 117, 4 6 0

Crystal structure
a = 6.1960 Å, b = 10.7401 Å, c = 11.7939 Å
α = 90.00°, β = 100.12°, γ = 90.00°
Space group C2/m (No. 12)
Asymmetric unit:
Tb  0.0000  0.0000  0.0000
Tb  0.0000  0.3331  0.0000
Nd  0.0000  0.1665  0.5000
Y  0.2462  0.5000  0.2496
Y  0.2476  0.3354  0.7502
Pu  0.0000  0.5000  0.5000